[1]
Simulated X-ray diffraction stick pattern
Compound: Cs2InGaBr6
Radiation: Cu Kα (λ = 1.5418 Å)
Structure: DFT lattice parameters and positions (PBE)
Kinematic intensities with the Lorentz-polarization factor, no thermal factor.

The 12 most intense peaks (5 to 70 degrees two-theta), by intensity:
d 2.862, intensity 100
d 2.024, intensity 71
d 3.305, intensity 70
d 4.047, intensity 46
d 1.726, intensity 29
d 1.652, intensity 24
d 2.337, intensity 20
d 1.530, intensity 12
d 1.431, intensity 11
d 1.810, intensity 11
d 6.609, intensity 7
d 5.724, intensity 6

Atomic structure:
```
10
Lattice="0.0000 5.7239 5.7239 5.7239 0.0000 5.7239 5.7239 5.7239 0.0000" Properties=species:S:1:pos:R:3 pbc="T T T"
Cs 2.8620 2.8620 2.8620
Cs 8.5859 8.5859 8.5859
In 0.0000 0.0000 0.0000
Ga 5.7239 5.7239 5.7239
Br 5.7239 5.7239 2.7353
Br 5.7239 2.7353 5.7239
Br 8.7126 5.7239 5.7239
Br 2.7353 5.7239 5.7239
Br 5.7239 8.7126 5.7239
Br 5.7239 5.7239 8.7126
```



[2]
Simulated X-ray diffraction stick pattern
Compound: ErBeO3
Radiation: Cu Kα (λ = 1.5418 Å)
Structure: DFT lattice parameters and positions (PBE)
Kinematic intensities with the Lorentz-polarization factor, no thermal factor.

The 6 most intense peaks (5 to 70 degrees two-theta), by intensity:
d 3.553, intensity 100
d 2.513, intensity 97
d 2.051, intensity 64
d 1.589, intensity 43
d 1.451, intensity 37
d 1.777, intensity 33

Atomic structure:
```
5
Lattice="3.5533 0.0000 0.0000 0.0000 3.5533 0.0000 0.0000 0.0000 3.5533" Properties=species:S:1:pos:R:3 pbc="T T T"
Er 0.0000 0.0000 0.0000
Be 1.7766 1.7766 1.7766
O 0.0000 1.7766 1.7766
O 1.7766 0.0000 1.7766
O 1.7766 1.7766 0.0000
```



[3]
Simulated X-ray diffraction stick pattern
Compound: Re3Pb2S6
Radiation: Cu Kα (λ = 1.5418 Å)
Structure: DFT lattice parameters and positions (PBE)
Kinematic intensities with the Lorentz-polarization factor, no thermal factor.

The 12 most intense peaks (5 to 70 degrees two-theta), by intensity:
d 6.824, intensity 100
d 4.536, intensity 38
d 4.494, intensity 27
d 3.024, intensity 26
d 1.921, intensity 25
d 8.512, intensity 25
d 5.978, intensity 22
d 4.860, intensity 21
d 4.767, intensity 20
d 4.928, intensity 20
d 3.442, intensity 18
d 1.914, intensity 18

Atomic structure:
```
44
Lattice="8.5126 -4.7667 0.0000 8.5126 4.7667 0.0000 -0.1863 0.0000 11.9557" Properties=species:S:1:pos:R:3 pbc="T T T"
Re 2.6881 1.3594 5.5224
Re 5.0250 1.7767 4.4158
Re 4.8912 0.9470 6.9379
Re 2.5949 -1.3594 11.5002
Re 4.9844 -0.9470 0.9601
Re 4.9318 -1.7767 10.3936
Re 11.9071 1.7767 1.5621
Re 11.8545 0.9470 10.9956
Re 14.2439 1.3594 0.4554
Re 11.9476 -0.9470 5.0178
Re 11.8139 -1.7767 7.5399
Re 14.1508 -1.3594 6.4332
Pb 6.5771 2.5492 11.6879
Pb 8.4660 3.0808 2.9889
Pb 10.1687 2.5492 6.2456
Pb 8.3729 0.9699 8.9667
Pb 8.4660 -0.9699 2.9889
Pb 6.6702 -2.5492 5.7101
Pb 8.3729 -3.0808 8.9667
Pb 10.2618 -2.5492 0.2678
S 0.7895 0.0740 4.7773
S 5.3906 2.5410 8.6776
S 0.6963 -0.0740 10.7551
S 2.6778 0.6695 7.8595
S 4.1658 0.4479 11.0429
S 2.7710 -0.6695 1.8817
S 7.0043 1.4726 5.7818
S 6.1814 0.8621 2.2907
S 4.2589 -0.4479 5.0651
S 11.3551 2.5410 9.2559
S 9.9277 1.4726 0.1960
S 6.0882 -0.8621 8.2685
S 10.7507 0.8621 3.6871
S 6.9112 -1.4726 11.7596
S 5.4837 -2.5410 2.6997
S 12.5800 0.4479 6.8906
S 10.6575 -0.8621 9.6650
S 9.8345 -1.4726 6.1739
S 14.0679 0.6695 10.0740
S 12.6731 -0.4479 0.9128
S 14.1611 -0.6695 4.0962
S 16.1426 0.0740 1.2006
S 11.4483 -2.5410 3.2781
S 16.0494 -0.0740 7.1784
```



[4]
Simulated X-ray diffraction stick pattern
Compound: CaBeSi
Radiation: Cu Kα (λ = 1.5418 Å)
Structure: DFT lattice parameters and positions (PBE)
Kinematic intensities with the Lorentz-polarization factor, no thermal factor.

The 9 most intense peaks (5 to 70 degrees two-theta), by intensity:
d 2.662, intensity 100
d 1.957, intensity 28
d 3.390, intensity 24
d 1.447, intensity 20
d 1.577, intensity 18
d 2.150, intensity 13
d 1.816, intensity 7
d 1.695, intensity 3
d 4.300, intensity 1

Atomic structure:
```
3
Lattice="3.9146 0.0000 0.0000 -1.9573 3.3901 0.0000 0.0000 0.0000 4.2998" Properties=species:S:1:pos:R:3 pbc="T T T"
Ca 0.0000 0.0000 0.0000
Be 0.0000 2.2601 2.1499
Si 1.9573 1.1300 2.1499
```



[5]
Simulated X-ray diffraction stick pattern
Compound: K2LiEuCl6
Radiation: Cu Kα (λ = 1.5418 Å)
Structure: DFT lattice parameters and positions (PBE)
Kinematic intensities with the Lorentz-polarization factor, no thermal factor.

The 12 most intense peaks (5 to 70 degrees two-theta), by intensity:
d 2.624, intensity 100
d 6.060, intensity 92
d 3.165, intensity 73
d 3.711, intensity 67
d 1.856, intensity 65
d 5.249, intensity 62
d 2.408, intensity 41
d 2.347, intensity 31
d 2.143, intensity 31
d 2.020, intensity 24
d 1.774, intensity 23
d 1.515, intensity 21

Atomic structure:
```
10
Lattice="0.0000 5.2485 5.2485 5.2485 0.0000 5.2485 5.2485 5.2485 0.0000" Properties=species:S:1:pos:R:3 pbc="T T T"
K 2.6243 2.6243 2.6243
K 7.8728 7.8728 7.8728
Li 0.0000 0.0000 0.0000
Eu 5.2485 5.2485 5.2485
Cl 5.2485 5.2485 2.5508
Cl 5.2485 2.5508 5.2485
Cl 7.9463 5.2485 5.2485
Cl 2.5508 5.2485 5.2485
Cl 5.2485 7.9463 5.2485
Cl 5.2485 5.2485 7.9463
```



[6]
Simulated X-ray diffraction stick pattern
Compound: Tm2ZnCu
Radiation: Cu Kα (λ = 1.5418 Å)
Structure: DFT lattice parameters and positions (PBE)
Kinematic intensities with the Lorentz-polarization factor, no thermal factor.

The 6 most intense peaks (5 to 70 degrees two-theta), by intensity:
d 2.453, intensity 100
d 1.416, intensity 35
d 3.469, intensity 21
d 1.735, intensity 17
d 1.552, intensity 9
d 2.003, intensity 6

Atomic structure:
```
4
Lattice="0.0000 3.4695 3.4695 3.4695 0.0000 3.4695 3.4695 3.4695 0.0000" Properties=species:S:1:pos:R:3 pbc="T T T"
Tm 1.7347 1.7347 1.7347
Tm 5.2042 5.2042 5.2042
Zn 0.0000 0.0000 0.0000
Cu 3.4695 3.4695 3.4695
```



[7]
Simulated X-ray diffraction stick pattern
Compound: MoWSeS3
Radiation: Cu Kα (λ = 1.5418 Å)
Structure: DFT lattice parameters and positions (PBE)
Kinematic intensities with the Lorentz-polarization factor, no thermal factor.

The 12 most intense peaks (5 to 70 degrees two-theta), by intensity:
d 7.278, intensity 100
d 2.378, intensity 55
d 1.976, intensity 32
d 12.130, intensity 27
d 2.789, intensity 26
d 6.065, intensity 25
d 1.611, intensity 18
d 2.605, intensity 13
d 2.719, intensity 13
d 1.902, intensity 12
d 1.573, intensity 10
d 2.758, intensity 9

Atomic structure:
```
12
Lattice="3.2219 0.0000 0.0000 -1.6110 2.7903 0.0000 0.0000 0.0000 36.3905" Properties=species:S:1:pos:R:3 pbc="T T T"
Mo 0.0000 0.0000 0.0000
Mo 0.0000 1.8602 6.8370
W 0.0000 0.0000 13.6735
W 0.0000 1.8602 20.5112
Se 0.0000 0.0000 18.7893
Se 0.0000 0.0000 22.2331
S 0.0000 0.0000 5.2807
S 0.0000 0.0000 8.3932
S 0.0000 1.8602 1.5565
S 0.0000 1.8602 12.1122
S 0.0000 1.8602 15.2345
S 0.0000 1.8602 34.8342
```



[8]
Simulated X-ray diffraction stick pattern
Compound: TiAs2O7
Radiation: Cu Kα (λ = 1.5418 Å)
Structure: DFT lattice parameters and positions (PBE)
Kinematic intensities with the Lorentz-polarization factor, no thermal factor.

The 12 most intense peaks (5 to 70 degrees two-theta), by intensity:
d 3.715, intensity 100
d 3.132, intensity 67
d 3.188, intensity 64
d 4.225, intensity 34
d 2.640, intensity 34
d 4.649, intensity 23
d 2.207, intensity 19
d 1.858, intensity 17
d 2.184, intensity 16
d 1.635, intensity 16
d 2.470, intensity 14
d 1.537, intensity 12

Atomic structure:
```
20
Lattice="3.5085 -4.0527 0.0000 3.5085 4.0527 0.0000 -2.3208 0.0000 9.2974" Properties=species:S:1:pos:R:3 pbc="T T T"
Ti 0.0000 0.0000 0.0000
Ti -1.1604 0.0000 4.6487
As 0.2817 1.0844 7.4540
As 1.4421 -1.0844 2.8053
As 3.2541 1.0844 6.4921
As 4.4145 -1.0844 1.8434
O 1.7836 2.7531 3.2930
O 0.7488 2.5858 8.0969
O -0.4560 0.0639 8.5887
O 0.7044 -0.0639 3.9400
O 2.7871 2.5858 5.8493
O 4.0730 2.7531 1.3557
O 1.7679 0.2227 6.9731
O 2.9283 -0.2227 2.3244
O 0.6232 -2.7531 7.9417
O 1.9092 -2.5858 3.4482
O 3.9919 0.0639 5.3574
O 5.1523 -0.0639 0.7087
O 3.9475 -2.5858 1.2005
O 2.9126 -2.7531 6.0044
```



[9]
Simulated X-ray diffraction stick pattern
Compound: Zr21S8
Radiation: Cu Kα (λ = 1.5418 Å)
Structure: DFT lattice parameters and positions (PBE)
Kinematic intensities with the Lorentz-polarization factor, no thermal factor.

The 12 most intense peaks (5 to 70 degrees two-theta), by intensity:
d 2.447, intensity 100
d 2.369, intensity 67
d 2.676, intensity 50
d 2.993, intensity 40
d 2.484, intensity 31
d 1.497, intensity 23
d 2.116, intensity 20
d 2.737, intensity 20
d 2.629, intensity 19
d 1.516, intensity 19
d 1.604, intensity 16
d 2.294, intensity 16

Atomic structure:
```
29
Lattice="-9.4596 9.4596 1.6042 9.4596 -9.4596 1.6042 9.4596 9.4596 -1.6042" Properties=species:S:1:pos:R:3 pbc="T T T"
Zr 0.0000 0.0000 0.0000
Zr 13.8286 0.5075 0.0000
Zr 8.5074 1.6116 0.0000
Zr 11.5876 3.6262 0.0000
Zr 3.6643 3.6641 0.0000
Zr 5.7955 -5.7953 1.6042
Zr 0.5075 5.0905 0.0000
Zr 10.3384 6.9545 0.0000
Zr 3.6262 7.3316 0.0000
Zr 7.8480 -0.9522 1.6042
Zr 6.9545 8.5807 0.0000
Zr 2.5051 0.8789 1.6042
Zr 1.6116 10.4117 0.0000
Zr 5.8334 2.1280 1.6042
Zr -0.8788 2.5051 1.6042
Zr 8.9521 4.3690 1.6042
Zr 3.6641 15.2549 0.0000
Zr 5.7953 5.7955 1.6042
Zr -2.1280 5.8334 1.6042
Zr 0.9522 7.8480 1.6042
Zr -4.3690 8.9521 1.6042
S 16.3590 1.2402 0.0000
S 1.2402 2.5602 0.0000
S 6.8564 3.9106 0.0000
S 5.5490 -2.6032 1.6042
S 3.9106 12.0627 0.0000
S 2.6031 5.5490 1.6042
S 8.2194 6.8994 1.6042
S -6.8994 8.2194 1.6042
```



- Which formula does entry 6 have?
  Tm2ZnCu